MgVNi2O5: computed powder X-ray diffraction pattern (a wavelength of 1.5418 Å), based on a cell relaxed with PBE+U.

Top 10 peaks for 10 to 90 degrees two-theta, most intense first:
34.92 deg, I = 100; 16.58 deg, I = 72; 29.27 deg, I = 65; 53.01 deg, I = 61; 55.72 deg, I = 57; 31.45 deg, I = 50; 39.83 deg, I = 48; 49.74 deg, I = 41; 31.67 deg, I = 35; 41.27 deg, I = 34

Atomic structure:
Lattice parameters (Å, degrees): 6.0922 6.0922 10.6954 90.00 90.00 151.26
Sites, in units of the cell vectors:
Mg 0.0601 0.9399 0.5000
Mg 0.9399 0.0601 0.0000
V 0.2363 0.7637 0.0919
V 0.7637 0.2363 0.5919
Ni 0.3412 0.6588 0.3150
Ni 0.4522 0.5478 0.7230
Ni 0.5478 0.4522 0.2230
Ni 0.6588 0.3412 0.8150
O 0.0220 0.9780 0.8391
O 0.0850 0.9150 0.1001
O 0.2452 0.7548 0.4729
O 0.2662 0.7338 0.7306
O 0.3967 0.6033 0.1140
O 0.6033 0.3967 0.6140
O 0.7338 0.2662 0.2306
O 0.7548 0.2452 0.9729
O 0.9150 0.0850 0.6001
O 0.9780 0.0220 0.3391